Diffraction record for Li2CoSiO4. The powder X-ray diffraction pattern is simulated, not measured: it uses a structure optimized by DFT (PBE+U) and Cu Ka.
Lines closer than 0.1° are merged.

Structural model:
Cell lengths 10.900, 6.181, 5.014 Å; angles 90.00, 90.00, 90.00 degrees
Space group Pnma (No. 62)
Inequivalent atoms, fractional coordinates:
Li: 0.087 0.001 0.183 x8
Co: 0.169 0.750 0.679 x4
Si: 0.163 0.250 0.674 x4
O: 0.091 0.031 0.783 x8
O: 0.164 0.250 0.344 x4
O: 0.192 0.750 0.280 x4

Largest 10 diffraction maxima, low angle first, 2θ from 5° to 70°:
two_theta, Rel. int., h k l
16.26, 64, 2 0 0
24.12, 100, 2 0 1
28.89, 45, 0 2 0
30.38, 30, 3 0 1
32.87, 29, 4 0 0
33.33, 62, 2 2 0
35.82, 47, 0 0 2
42.42, 24, 3 2 1
58.98, 34, 6 2 0
68.90, 26, 3 2 3